Record 1
The following is a computed powder X-ray diffraction pattern of Be5P. It was derived from a GGA-PBE-relaxed structure, using a wavelength of 1.5418 Å.

Principal peaks in the range 15 to 90 degrees two-theta, sorted by position:
17.4 deg, 5.107 Å, I 53, hkl 0 2 0; 27.2 deg, 3.273 Å, I 22, hkl 0 0 1; 28.3 deg, 3.148 Å, I 38, hkl 1 1 0; 32.5 deg, 2.756 Å, I 27, hkl 0 2 1; 39.7 deg, 2.269 Å, I 32, hkl 1 1 1; 47.3 deg, 1.921 Å, I 100, hkl 1 3 1

Structure:
```
data_Be5P
_chemical_formula_sum 'Be10 P2'
_space_group_name_H-M_alt 'C m m m'
_space_group_IT_number 65
_space_group_name_Hall '-C 2 2'
_cell_length_a 3.3092
_cell_length_b 10.2145
_cell_length_c 3.2729
_cell_angle_alpha 90.00
_cell_angle_beta 90.00
_cell_angle_gamma 90.00
loop_
_atom_site_label
_atom_site_type_symbol
_atom_site_fract_x
_atom_site_fract_y
_atom_site_fract_z
Be1 Be 0.0000 0.0000 0.0000
Be2 Be 0.0000 0.1744 0.5000
Be3 Be 0.0000 0.3224 0.0000
P1 P 0.0000 0.5000 0.5000
```



Record 2
The following is a computed powder X-ray diffraction pattern of BePPd4. It was derived from a GGA-PBE-relaxed structure, using a wavelength of 1.5418 Å.

Principal peaks in the range 15 to 90 degrees two-theta, sorted by position:
36.5 deg, 2.459 Å, I 78, hkl 2 1 0; 38.6 deg, 2.335 Å, I 100, hkl 1 1 4; 41.3 deg, 2.185 Å, I 55, hkl 3 0 1; 41.8 deg, 2.163 Å, I 35, hkl 2 1 3; 42.9 deg, 2.106 Å, I 37, hkl 2 0 5; 49.8 deg, 1.831 Å, I 34, hkl 0 2 0

Structure:
```
data_BePPd4
_chemical_formula_sum 'Be4 P4 Pd16'
_space_group_name_H-M_alt 'P n m a'
_space_group_IT_number 62
_cell_length_a 6.6372
_cell_length_b 3.6628
_cell_length_c 13.6291
_cell_angle_alpha 90.00
_cell_angle_beta 90.00
_cell_angle_gamma 90.00
loop_
_space_group_symop_operation_xyz
'x,y,z'
'-x,-y,-z'
'-x+1/2,-y,z+1/2'
'x+1/2,y,-z+1/2'
'x+1/2,-y+1/2,-z+1/2'
'-x+1/2,y+1/2,z+1/2'
'-x,y+1/2,-z'
'x,-y+1/2,z'
loop_
_atom_site_label
_atom_site_type_symbol
_atom_site_fract_x
_atom_site_fract_y
_atom_site_fract_z
Be1 Be 0.2464 0.2500 0.0599
P1 P 0.2343 0.2500 0.8152
Pd1 Pd 0.0102 0.7500 0.4259
Pd2 Pd 0.0943 0.7500 0.7236
Pd3 Pd 0.1196 0.7500 0.1523
Pd4 Pd 0.1457 0.7500 0.9424
```